Structure and theoretical powder diffractogram of Na4Co3AsO8 (the PBE+U geometry in Alexandria; copper Kα).

Atomic structure:
```
data_Na4Co3AsO8
_chemical_formula_sum 'Na12 Co9 As3 O24'
_space_group_name_H-M_alt 'R -3 m'
_space_group_IT_number 166
_space_group_name_Hall '-R 3 2"'
_cell_length_a 6.0176
_cell_length_b 6.0176
_cell_length_c 15.9526
_cell_angle_alpha 90.00
_cell_angle_beta 90.00
_cell_angle_gamma 120.00
loop_
_atom_site_label
_atom_site_fract_x
_atom_site_fract_y
_atom_site_fract_z
Na1 0.0000 0.0000 0.0000
Na2 0.0000 0.5000 0.0000
Co1 0.0000 0.5000 0.5000
As1 0.0000 0.0000 0.5000
O1 0.0000 0.0000 0.2298
O2 0.0213 0.5107 0.7677
```

Peak list (6 most intense, 2θ from 5° to 70°, by angle)
index	two_theta	I/Imax
0 0 3	16.67	72
0 0 6	33.71	18
2 0 2	36.27	36
0 2 4	41.39	100
2 0 8	58.26	28
2 2 0	61.65	27